Diffraction record for PaHg4. The X-ray powder pattern is computed, not measured: it uses a crystal structure in Alexandria, relaxed with GGA-PBE and Cu Ka.

Main lines, in order of falling intensity (2θ from 15° to 90°):
2θ (°), Rel. int., hkl
34.90, 1000, 2 0 2
34.58, 737, 1 3 1
35.38, 482, 0 0 4
26.46, 441, 0 2 2
43.03, 407, 1 3 3
36.12, 199, 2 2 0
19.70, 197, 0 2 0
56.22, 188, 3 3 1
63.21, 184, 2 0 6
56.89, 182, 1 3 5

Cell and atoms:
```
data_PaHg4
_symmetry_space_group_name_H-M 'F m m m'
_symmetry_Int_Tables_number 69
_symmetry_space_group_name_Hall '-F 2 2'
_cell_length_a 5.964
_cell_length_b 9.012
_cell_length_c 10.147
_cell_angle_alpha 90.00
_cell_angle_beta 90.00
_cell_angle_gamma 90.00
loop_
_atom_site_label
_atom_site_fract_x
_atom_site_fract_y
_atom_site_fract_z
Pa1 0.000 0.000 0.000
Hg1 0.000 0.155 0.500
Hg2 0.250 0.250 0.250
```